No. 1
Simulated powder XRD pattern of Th8Si3PSe4 for copper Kα, from the GGA-PBE geometry in Alexandria.

Atomic structure:
```
Th8Si3PSe4
1.0
4.232 2.443 6.925
-4.232 2.443 6.925
0.000 -4.887 6.925
Th Si P Se
8 3 1 4
Direct
0.244 0.244 0.244
0.247 0.742 0.742
0.258 0.258 0.753
0.258 0.753 0.258
0.742 0.247 0.742
0.742 0.742 0.247
0.753 0.258 0.258
0.756 0.756 0.756
0.000 0.000 0.500
0.000 0.500 0.000
0.500 0.000 0.000
0.500 0.500 0.500
0.000 0.000 0.000
0.000 0.500 0.500
0.500 0.000 0.500
0.500 0.500 0.000
```

Largest 10 diffraction maxima, most intense first, 2θ = 10–90°:
| 2θ/deg | d/Å | I (rel.) |
| --- | --- | --- |
| 29.8 | 2.994 | 100 |
| 42.7 | 2.117 | 75 |
| 25.8 | 3.458 | 69 |
| 50.5 | 1.806 | 33 |
| 70.3 | 1.339 | 33 |
| 53.0 | 1.728 | 20 |
| 78.2 | 1.222 | 19 |
| 62.0 | 1.497 | 12 |
| 84.0 | 1.152 | 8 |
| 68.3 | 1.373 | 8 |

No. 2
Simulated powder XRD pattern of Sm5PSe4 for copper Kα, from the GGA-PBE geometry in Alexandria.

Atomic structure:
```
Sm5PSe4
1.0
-2.075 2.075 14.810
2.075 -2.075 14.810
2.075 2.075 -14.810
Sm P Se
5 1 4
Direct
0.000 0.000 0.000
0.204 0.204 0.000
0.406 0.406 0.000
0.594 0.594 0.000
0.796 0.796 0.000
0.500 0.500 0.000
0.101 0.101 0.000
0.303 0.303 0.000
0.697 0.697 0.000
0.899 0.899 0.000
```

Largest 10 diffraction maxima, most intense first, 2θ = 10–90°:
| 2θ/deg | d/Å | I (rel.) |
| --- | --- | --- |
| 30.5 | 2.934 | 100 |
| 43.4 | 2.085 | 71 |
| 30.2 | 2.962 | 50 |
| 54.0 | 1.699 | 38 |
| 43.6 | 2.075 | 37 |
| 26.2 | 3.399 | 37 |
| 80.0 | 1.200 | 24 |
| 72.0 | 1.312 | 17 |
| 71.8 | 1.315 | 16 |
| 71.3 | 1.322 | 13 |

No. 3
Simulated powder XRD pattern of TbSmPSe for copper Kα, from the GGA-PBE geometry in Alexandria.

Atomic structure:
```
TbSmPSe
1.0
2.010 1.161 7.093
-2.010 1.161 7.093
0.000 -2.321 7.093
Tb Sm P Se
1 1 1 1
Direct
0.000 0.000 0.000
0.815 0.815 0.815
0.407 0.407 0.407
0.242 0.242 0.242
```

Largest 10 diffraction maxima, most intense first, 2θ = 10–90°:
| 2θ/deg | d/Å | I (rel.) |
| --- | --- | --- |
| 33.2 | 2.695 | 100 |
| 25.9 | 3.436 | 53 |
| 45.1 | 2.010 | 53 |
| 30.7 | 2.913 | 47 |
| 39.3 | 2.290 | 32 |
| 26.9 | 3.309 | 21 |
| 57.2 | 1.611 | 21 |
| 70.9 | 1.330 | 19 |
| 75.6 | 1.257 | 18 |
| 50.3 | 1.816 | 16 |

No. 4
Simulated powder XRD pattern of Sm4TePSe2 for copper Kα, from the GGA-PBE geometry in Alexandria.

Atomic structure:
```
Sm4TePSe2
1.0
7.258 0.000 0.000
0.000 4.194 0.000
-2.437 0.000 7.062
Sm Te P Se
4 1 1 2
Direct
0.238 0.000 0.224
0.255 0.500 0.780
0.745 0.500 0.220
0.762 0.000 0.776
0.000 0.000 0.500
0.000 0.500 0.000
0.500 0.000 0.000
0.500 0.500 0.500
```

Largest 10 diffraction maxima, most intense first, 2θ = 10–90°:
| 2θ/deg | d/Å | I (rel.) |
| --- | --- | --- |
| 29.8 | 2.995 | 100 |
| 43.2 | 2.096 | 38 |
| 42.2 | 2.140 | 34 |
| 70.9 | 1.328 | 16 |
| 25.9 | 3.434 | 14 |
| 53.3 | 1.718 | 13 |
| 62.0 | 1.497 | 11 |
| 69.6 | 1.351 | 8 |
| 78.4 | 1.219 | 7 |
| 32.5 | 2.757 | 7 |

No. 5
Simulated powder XRD pattern of Sr4P2Se for copper Kα, from the GGA-PBE geometry in Alexandria.

Atomic structure:
```
Sr4P2Se
1.0
-4.533 4.533 6.385
4.533 -4.533 6.385
4.533 4.533 -6.385
Sr P Se
8 4 2
Direct
0.264 0.292 0.529
0.264 0.735 0.971
0.265 0.736 0.529
0.292 0.264 0.029
0.708 0.736 0.971
0.735 0.264 0.471
0.736 0.265 0.029
0.736 0.708 0.471
0.000 0.500 0.500
0.500 0.000 0.000
0.500 0.500 0.000
0.500 0.500 0.500
0.125 0.875 0.250
0.875 0.125 0.750
```

Largest 10 diffraction maxima, most intense first, 2θ = 10–90°:
| 2θ/deg | d/Å | I (rel.) |
| --- | --- | --- |
| 39.8 | 2.263 | 100 |
| 24.1 | 3.696 | 92 |
| 27.8 | 3.205 | 43 |
| 36.4 | 2.467 | 32 |
| 19.6 | 4.527 | 26 |
| 47.0 | 1.932 | 22 |
| 23.0 | 3.860 | 22 |
| 27.9 | 3.192 | 21 |
| 30.4 | 2.937 | 20 |
| 72.3 | 1.308 | 16 |

No. 6
Simulated powder XRD pattern of Sr4PSe2 for copper Kα, from the GGA-PBE geometry in Alexandria.

Atomic structure:
```
Sr4PSe2
1.0
2.178 -7.187 0.000
2.178 7.187 0.000
0.000 0.000 14.815
Sr P Se
8 2 4
Direct
0.000 0.000 0.000
0.000 0.000 0.500
0.278 0.722 0.630
0.278 0.722 0.870
0.462 0.538 0.250
0.538 0.462 0.750
0.722 0.278 0.130
0.722 0.278 0.370
0.115 0.885 0.250
0.885 0.115 0.750
0.365 0.635 0.060
0.365 0.635 0.440
0.635 0.365 0.560
0.635 0.365 0.940
```

Largest 10 diffraction maxima, most intense first, 2θ = 10–90°:
| 2θ/deg | d/Å | I (rel.) |
| --- | --- | --- |
| 27.1 | 3.292 | 100 |
| 30.2 | 2.956 | 93 |
| 28.3 | 3.150 | 83 |
| 41.9 | 2.157 | 72 |
| 37.2 | 2.415 | 67 |
| 27.7 | 3.224 | 45 |
| 41.5 | 2.178 | 43 |
| 50.2 | 1.817 | 36 |
| 39.5 | 2.283 | 30 |
| 60.4 | 1.532 | 26 |